Simulated powder X-ray diffraction pattern
Compound: NdSm3Ho8
Radiation: CuKα
Structure: a cell relaxed with GGA-PBE

Top 8 peaks for 2θ from 10° to 90°, by angle:
| two_theta | I_rel |
| --- | --- |
| 28.4 | 24 |
| 31.5 | 24 |
| 32.6 | 100 |
| 42.9 | 16 |
| 50.3 | 20 |
| 56.8 | 21 |
| 60.5 | 19 |
| 61.1 | 11 |

Atomic structure:
Unit cell a=8.4651 b=8.4651 c=10.8804 alpha=129.91 beta=129.91 gamma=43.65
Element x y z (fractional)
Nd  0.0000  0.0000  0.0000
Sm  0.0853  0.4139  0.7495
Sm  0.5000  0.5000  0.5000
Sm  0.5861  0.9147  0.2505
Ho  0.0029  0.9969  0.3328
Ho  0.0031  0.9971  0.6672
Ho  0.0829  0.4176  0.0826
Ho  0.0833  0.4179  0.4183
Ho  0.5030  0.4972  0.1681
Ho  0.5028  0.4970  0.8319
Ho  0.5821  0.9167  0.5817
Ho  0.5824  0.9171  0.9174